1.
For HoCuF5, a crystal structure in Alexandria, relaxed with GGA-PBE gives the theoretical PXRD pattern in this record (Cu Kα X-rays).
Intensities are scaled so that the largest is 100.

Most intense lines, 10° ≤ 2θ ≤ 80°, low angle first:
2θ = 16.6°, I 39.6; 2θ = 18.4°, I 21.6; 2θ = 22.1°, I 100.0; 2θ = 24.9°, I 49.1; 2θ = 27.7°, I 93.6; 2θ = 35.3°, I 21.5; 2θ = 36.2°, I 21.8; 2θ = 45.1°, I 23.9; 2θ = 53.1°, I 24.9; 2θ = 54.4°, I 22.2

Structural model:
a b c (Å): 5.640 5.640 7.214
angles (deg): 107.44 107.44 78.71
Fractional coordinates of all 14 atoms:
Ho: 0.059 0.941 0.750
Ho: 0.941 0.059 0.250
Cu: 0.500 0.500 0.000
Cu: 0.500 0.500 0.500
F: 0.157 0.813 0.037
F: 0.187 0.843 0.463
F: 0.228 0.308 0.374
F: 0.308 0.228 0.874
F: 0.383 0.617 0.750
F: 0.617 0.383 0.250
F: 0.692 0.772 0.126
F: 0.772 0.692 0.626
F: 0.813 0.157 0.537
F: 0.843 0.187 0.963


2.
For HoTlCu2F8, a crystal structure in Alexandria, relaxed with GGA-PBE gives the theoretical PXRD pattern in this record (Cu Kα X-rays).
Intensities are scaled so that the largest is 100.

Most intense lines, 10° ≤ 2θ ≤ 80°, low angle first:
2θ = 17.6°, I 92.8; 2θ = 20.9°, I 29.2; 2θ = 28.8°, I 100.0; 2θ = 30.7°, I 71.2; 2θ = 38.5°, I 29.2; 2θ = 42.6°, I 48.2; 2θ = 49.9°, I 17.1; 2θ = 53.4°, I 37.4; 2θ = 56.6°, I 19.6; 2θ = 59.8°, I 22.1

Structural model:
a b c (Å): 5.827 5.827 7.840
angles (deg): 90.00 90.00 120.00
Fractional coordinates of all 12 atoms:
Ho: 0.000 0.000 0.000
Tl: 0.000 0.000 0.500
Cu: 0.333 0.667 0.701
Cu: 0.667 0.333 0.299
F: 0.166 0.332 0.825
F: 0.166 0.834 0.825
F: 0.332 0.166 0.175
F: 0.333 0.667 0.466
F: 0.667 0.333 0.534
F: 0.668 0.834 0.825
F: 0.834 0.166 0.175
F: 0.834 0.668 0.175


3.
For CuIF3, a crystal structure in Alexandria, relaxed with GGA-PBE gives the theoretical PXRD pattern in this record (Cu Kα X-rays).
Intensities are scaled so that the largest is 100.

Most intense lines, 10° ≤ 2θ ≤ 80°, low angle first:
2θ = 18.4°, I 45.7; 2θ = 21.8°, I 41.5; 2θ = 24.6°, I 52.2; 2θ = 24.8°, I 51.5; 2θ = 26.1°, I 100.0; 2θ = 26.2°, I 53.8; 2θ = 29.2°, I 30.2; 2θ = 30.2°, I 58.0; 2θ = 31.8°, I 32.1; 2θ = 40.5°, I 40.1

Structural model:
a b c (Å): 4.772 5.357 7.502
angles (deg): 104.55 92.47 92.13
Fractional coordinates of all 10 atoms:
Cu: 0.000 0.000 0.000
Cu: 0.494 0.494 0.980
I: 0.199 0.915 0.584
I: 0.803 0.534 0.404
F: 0.229 0.751 0.070
F: 0.291 0.263 0.091
F: 0.304 0.304 0.686
F: 0.715 0.739 0.894
F: 0.778 0.246 0.918
F: 0.819 0.146 0.304


4.
For K2CuI2F2, a crystal structure in Alexandria, relaxed with GGA-PBE gives the theoretical PXRD pattern in this record (Cu Kα X-rays).
Intensities are scaled so that the largest is 100.

Most intense lines, 10° ≤ 2θ ≤ 80°, low angle first:
2θ = 20.0°, I 63.6; 2θ = 24.9°, I 45.3; 2θ = 27.3°, I 100.0; 2θ = 32.9°, I 39.3; 2θ = 34.7°, I 34.9; 2θ = 39.1°, I 55.9; 2θ = 42.3°, I 42.9; 2θ = 51.2°, I 19.5; 2θ = 51.9°, I 19.6; 2θ = 58.9°, I 31.0

Structural model:
a b c (Å): 9.057 9.057 9.057
angles (deg): 150.49 150.49 42.22
Fractional coordinates of all 7 atoms:
K: 0.098 0.098 0.000
K: 0.902 0.902 0.000
Cu: 0.500 0.500 0.000
I: 0.343 0.343 0.000
I: 0.657 0.657 0.000
F: 0.000 0.500 0.500
F: 0.500 0.000 0.500


5.
For InCu2F, a crystal structure in Alexandria, relaxed with GGA-PBE gives the theoretical PXRD pattern in this record (Cu Kα X-rays).
Intensities are scaled so that the largest is 100.

Most intense lines, 10° ≤ 2θ ≤ 80°, low angle first:
2θ = 21.8°, I 29.3; 2θ = 34.2°, I 66.9; 2θ = 37.1°, I 100.0; 2θ = 40.2°, I 88.0; 2θ = 43.4°, I 27.2; 2θ = 53.4°, I 28.7; 2θ = 55.8°, I 55.3; 2θ = 68.9°, I 12.3; 2θ = 71.2°, I 15.0; 2θ = 77.2°, I 13.3

Structural model:
a b c (Å): 5.470 5.470 5.470
angles (deg): 102.34 102.34 124.92
Fractional coordinates of all 8 atoms:
In: 0.000 0.000 0.000
In: 0.750 0.250 0.500
Cu: 0.167 0.625 0.042
Cu: 0.375 0.417 0.542
Cu: 0.583 0.125 0.958
Cu: 0.875 0.833 0.458
F: 0.250 0.750 0.500
F: 0.500 0.500 0.000


6.
For CuIrF6, a crystal structure in Alexandria, relaxed with GGA-PBE gives the theoretical PXRD pattern in this record (Cu Kα X-rays).
Intensities are scaled so that the largest is 100.

Most intense lines, 10° ≤ 2θ ≤ 80°, low angle first:
2θ = 18.9°, I 13.3; 2θ = 20.6°, I 53.9; 2θ = 22.7°, I 13.2; 2θ = 28.1°, I 100.0; 2θ = 36.1°, I 20.7; 2θ = 41.0°, I 17.0; 2θ = 43.9°, I 13.5; 2θ = 46.3°, I 25.6; 2θ = 53.7°, I 31.7; 2θ = 60.1°, I 23.7

Structural model:
a b c (Å): 4.979 4.979 9.386
angles (deg): 90.00 90.00 120.00
Fractional coordinates of all 16 atoms:
Cu: 0.333 0.667 0.250
Cu: 0.667 0.333 0.750
Ir: 0.000 0.000 0.000
Ir: 0.000 0.000 0.500
F: 0.007 0.324 0.121
F: 0.007 0.683 0.379
F: 0.317 0.324 0.379
F: 0.317 0.993 0.121
F: 0.324 0.007 0.621
F: 0.324 0.317 0.879
F: 0.676 0.683 0.121
F: 0.676 0.993 0.379
F: 0.683 0.007 0.879
F: 0.683 0.676 0.621
F: 0.993 0.317 0.621
F: 0.993 0.676 0.879